1.
Computed powder diffractogram of Tb4Pm2TmMg for λ = 1.5418 Å (Cu Kα), from a structure optimized by DFT (PBE).
Peak positions follow from Bragg's law for the DFT cell and can differ from measured ones.

Structural model:
Unit cell a=4.985 b=4.985 c=10.078 alpha=90.00 beta=90.00 gamma=90.00
Sites, in units of the cell vectors:
Tb 0.000 0.500 0.250
Tb 0.000 0.500 0.750
Tb 0.500 0.000 0.250
Tb 0.500 0.000 0.750
Pm 0.000 0.000 0.000
Pm 0.500 0.500 0.500
Tm 0.000 0.000 0.500
Mg 0.500 0.500 0.000

Principal peaks in the range 10 to 90 degrees two-theta, low angle first:
2θ/deg	d_spacing	Rel. int.
30.96	2.888	100
35.63	2.520	17
36.03	2.493	33
51.58	1.772	24
51.88	1.762	12
61.12	1.516	14
61.65	1.505	28
64.53	1.444	12
84.24	1.149	12
84.71	1.144	6

---

2.
Computed powder diffractogram of Y12Cu6Bi for λ = 1.5418 Å (Cu Kα), from a structure optimized by DFT (PBE).
Peak positions follow from Bragg's law for the DFT cell and can differ from measured ones.

Structural model:
Unit cell a=8.621 b=8.621 c=8.621 alpha=109.47 beta=109.47 gamma=109.47
Sites, in units of the cell vectors:
Y 0.114 0.811 0.303
Y 0.189 0.303 0.492
Y 0.189 0.697 0.886
Y 0.303 0.114 0.811
Y 0.303 0.492 0.189
Y 0.492 0.189 0.303
Y 0.508 0.811 0.697
Y 0.697 0.508 0.811
Y 0.697 0.886 0.189
Y 0.811 0.303 0.114
Y 0.811 0.697 0.508
Y 0.886 0.189 0.697
Cu 0.122 0.622 0.500
Cu 0.378 0.500 0.878
Cu 0.500 0.122 0.622
Cu 0.500 0.878 0.378
Cu 0.622 0.500 0.122
Cu 0.878 0.378 0.500
Bi 0.000 0.000 0.000

Principal peaks in the range 10 to 90 degrees two-theta, low angle first:
2θ/deg	d_spacing	Rel. int.
17.82	4.978	14
28.35	3.148	19
31.12	2.874	38
33.69	2.661	100
36.09	2.489	18
46.51	1.952	31
53.69	1.707	21
57.03	1.615	28
66.40	1.408	18
82.16	1.173	14

---

3.
Computed powder diffractogram of Tl6Ni3Cl14 for λ = 1.5418 Å (Cu Kα), from a structure optimized by DFT (PBE).
Peak positions follow from Bragg's law for the DFT cell and can differ from measured ones.

Structural model:
Unit cell a=11.145 b=11.145 c=6.754 alpha=90.00 beta=90.00 gamma=120.00
Sites, in units of the cell vectors:
Tl 0.013 0.458 0.000
Tl 0.298 0.218 0.465
Tl 0.445 0.987 0.000
Tl 0.542 0.555 0.000
Tl 0.782 0.080 0.465
Tl 0.920 0.702 0.465
Ni 0.000 0.000 0.015
Ni 0.333 0.667 0.569
Ni 0.667 0.333 0.641
Cl 0.000 0.000 0.690
Cl 0.055 0.202 0.146
Cl 0.147 0.945 0.146
Cl 0.206 0.746 0.702
Cl 0.254 0.460 0.702
Cl 0.333 0.667 0.245
Cl 0.469 0.262 0.846
Cl 0.533 0.134 0.443
Cl 0.540 0.794 0.702
Cl 0.601 0.467 0.443
Cl 0.738 0.207 0.846
Cl 0.793 0.531 0.846
Cl 0.798 0.853 0.146
Cl 0.866 0.399 0.443

Principal peaks in the range 10 to 90 degrees two-theta, low angle first:
2θ/deg	d_spacing	Rel. int.
18.38	4.826	18
20.66	4.298	47
22.65	3.927	100
24.40	3.648	23
32.36	2.767	19
33.47	2.677	28
36.09	2.489	40
36.25	2.478	28
43.12	2.098	20
45.09	2.011	18

---

4.
Computed powder diffractogram of Ac4Sn5Pt2 for λ = 1.5418 Å (Cu Kα), from a structure optimized by DFT (PBE).
Peak positions follow from Bragg's law for the DFT cell and can differ from measured ones.

Structural model:
Unit cell a=7.820 b=4.590 c=9.336 alpha=90.00 beta=91.54 gamma=90.00
Sites, in units of the cell vectors:
Ac 0.212 0.000 0.359
Ac 0.234 0.000 0.909
Ac 0.766 0.000 0.091
Ac 0.788 0.000 0.641
Sn 0.130 0.500 0.632
Sn 0.439 0.500 0.160
Sn 0.500 0.500 0.500
Sn 0.561 0.500 0.840
Sn 0.870 0.500 0.368
Pt 0.083 0.500 0.134
Pt 0.917 0.500 0.866

Principal peaks in the range 10 to 90 degrees two-theta, low angle first:
2θ/deg	d_spacing	Rel. int.
29.39	3.039	82
29.80	2.999	100
30.03	2.976	92
34.84	2.575	24
35.46	2.532	30
38.59	2.333	26
39.14	2.301	26
39.25	2.295	47
40.07	2.250	39
57.34	1.607	28

---

5.
Computed powder diffractogram of Pr8Co3SiBr4 for λ = 1.5418 Å (Cu Kα), from a structure optimized by DFT (PBE).
Peak positions follow from Bragg's law for the DFT cell and can differ from measured ones.

Structural model:
Unit cell a=8.256 b=8.256 c=9.113 alpha=116.96 beta=116.96 gamma=59.98
Sites, in units of the cell vectors:
Pr 0.217 0.740 0.696
Pr 0.233 0.233 0.697
Pr 0.260 0.783 0.304
Pr 0.261 0.261 0.304
Pr 0.739 0.739 0.696
Pr 0.740 0.217 0.696
Pr 0.767 0.767 0.303
Pr 0.783 0.260 0.304
Co 0.000 0.000 0.500
Co 0.000 0.500 0.500
Co 0.500 0.000 0.500
Si 0.500 0.500 0.500
Br 0.000 0.000 0.000
Br 0.000 0.500 0.000
Br 0.500 0.000 0.000
Br 0.500 0.500 0.000

Principal peaks in the range 10 to 90 degrees two-theta, low angle first:
2θ/deg	d_spacing	Rel. int.
26.08	3.417	17
29.32	3.047	100
31.55	2.836	17
36.90	2.436	10
39.93	2.258	27
43.87	2.064	37
50.06	1.822	10
53.64	1.709	18
57.08	1.614	14
71.71	1.316	14

---

6.
Computed powder diffractogram of CePrI5 for λ = 1.5418 Å (Cu Kα), from a structure optimized by DFT (PBE).
Peak positions follow from Bragg's law for the DFT cell and can differ from measured ones.

Structural model:
Unit cell a=9.373 b=4.347 c=15.084 alpha=90.00 beta=94.22 gamma=90.00
Sites, in units of the cell vectors:
Ce 0.097 0.250 0.150
Ce 0.903 0.750 0.850
Pr 0.416 0.750 0.344
Pr 0.584 0.250 0.656
I 0.067 0.750 0.309
I 0.140 0.250 0.930
I 0.318 0.250 0.486
I 0.349 0.750 0.128
I 0.362 0.750 0.714
I 0.638 0.250 0.286
I 0.651 0.250 0.872
I 0.682 0.750 0.514
I 0.860 0.750 0.070
I 0.933 0.250 0.691

Principal peaks in the range 10 to 90 degrees two-theta, low angle first:
2θ/deg	d_spacing	Rel. int.
10.77	8.215	100
25.84	3.448	54
27.02	3.300	37
28.03	3.183	43
28.37	3.146	70
29.70	3.008	50
29.93	2.986	31
31.45	2.844	23
37.94	2.372	24
41.55	2.173	35

---

7.
Computed powder diffractogram of BeCoI4 for λ = 1.5418 Å (Cu Kα), from a structure optimized by DFT (PBE).
Peak positions follow from Bragg's law for the DFT cell and can differ from measured ones.

Structural model:
Unit cell a=6.444 b=6.444 c=10.848 alpha=90.00 beta=90.00 gamma=90.00
Sites, in units of the cell vectors:
Be 0.000 0.000 0.000
Be 0.500 0.500 0.500
Co 0.000 0.500 0.750
Co 0.500 0.000 0.250
I 0.211 0.765 0.878
I 0.235 0.211 0.122
I 0.265 0.289 0.622
I 0.289 0.735 0.378
I 0.711 0.265 0.378
I 0.735 0.711 0.622
I 0.765 0.789 0.122
I 0.789 0.235 0.878

Principal peaks in the range 10 to 90 degrees two-theta, low angle first:
2θ/deg	d_spacing	Rel. int.
16.00	5.540	16
25.53	3.489	100
27.69	3.222	27
32.14	2.785	9
33.03	2.712	10
39.56	2.278	16
43.62	2.075	28
47.67	1.908	27
54.61	1.680	12
69.51	1.352	9

---

8.
Computed powder diffractogram of ThZn3Cu8 for λ = 1.5418 Å (Cu Kα), from a structure optimized by DFT (PBE).
Peak positions follow from Bragg's law for the DFT cell and can differ from measured ones.

Structural model:
Unit cell a=4.965 b=4.965 c=8.268 alpha=90.00 beta=90.00 gamma=120.00
Sites, in units of the cell vectors:
Th 0.000 0.000 0.000
Zn 0.000 0.000 0.393
Zn 0.667 0.333 0.477
Zn 0.667 0.333 0.803
Cu 0.165 0.330 0.674
Cu 0.165 0.835 0.674
Cu 0.333 0.667 0.434
Cu 0.333 0.667 0.926
Cu 0.503 0.005 0.199
Cu 0.503 0.497 0.199
Cu 0.670 0.835 0.674
Cu 0.995 0.497 0.199

Principal peaks in the range 10 to 90 degrees two-theta, low angle first:
2θ/deg	d_spacing	Rel. int.
23.32	3.815	37
29.98	2.980	43
36.18	2.483	50
38.81	2.320	88
42.47	2.128	100
43.49	2.081	87
66.83	1.400	33
69.40	1.354	22
72.04	1.311	29
76.79	1.241	26